# 1
Structure and simulated powder diffraction line list of Mn4CN2 (a cell relaxed with PBE; CuKα).
Intensities are scaled so that the largest is 100.

Largest 8 diffraction maxima, sorted by position, 2θ = 10–80°:
2theta  d [Å]  I_rel  hkl
19.1  4.652  8  1 1 1
37.0  2.429  2  3 1 1
38.7  2.326  100  2 2 2
45.0  2.014  69  4 0 0
49.3  1.848  1  3 3 1
59.6  1.551  6  5 1 1
65.5  1.424  44  4 4 0
78.8  1.215  31  6 2 2

Structural model:
Cell lengths 8.0572, 8.0572, 8.0572 Å; angles 90.00, 90.00, 90.00 degrees
Space group Fd-3m (No. 227, origin choice 2)
Asymmetric unit:
Mn (0.0072, 0.0072, 0.2428) x32
C (0.1250, 0.1250, 0.6250) x8
N (0.0000, 0.0000, 0.0000) x16

# 2
Structure and simulated powder diffraction line list of Mn2OsC6N6 (a cell relaxed with PBE; CuKα).
Intensities are scaled so that the largest is 100.

Largest 8 diffraction maxima, sorted by position, 2θ = 10–80°:
2theta  d [Å]  I_rel  hkl
16.8  5.281  23  1 0 0
21.4  4.156  100  1 0 1
29.3  3.049  19  1 1 0
36.6  2.458  18  2 0 1
39.9  2.261  34  1 1 2
43.8  2.067  10  1 0 3
47.5  1.914  20  3 -1 1
53.6  1.711  10  2 0 3

Structural model:
Cell lengths 6.0978, 6.0978, 6.7381 Å; angles 90.00, 90.00, 120.00 degrees
Space group P-31m (No. 162)
Asymmetric unit:
Mn (0.3333, 0.6667, 0.0000) x2
Os (0.0000, 0.0000, 0.5000) x1
C (0.0000, 0.2565, 0.6875) x6
N (0.0000, 0.3900, 0.8159) x6

# 3
Structure and simulated powder diffraction line list of MnPRuCN (a cell relaxed with PBE; CuKα).
Intensities are scaled so that the largest is 100.

Largest 8 diffraction maxima, sorted by position, 2θ = 10–80°:
2theta  d [Å]  I_rel  hkl
12.6  7.014  100  0 0 2
33.0  2.716  78  1 0 2
33.8  2.652  78  0 1 1
38.5  2.338  39  0 0 6
40.0  2.256  58  1 0 4
49.8  1.832  76  1 1 3
56.7  1.624  27  1 1 5
57.2  1.609  27  0 1 7

Structural model:
Cell lengths 2.9460, 2.7007, 14.0285 Å; angles 90.00, 90.00, 90.00 degrees
Space group Amm2 (No. 38)
Asymmetric unit:
Mn (0.0000, 0.0000, 0.0000) x2
P (0.0000, 0.0000, 0.7128) x2
Ru (0.5000, 0.0000, 0.8402) x2
C (0.5000, 0.0000, 0.4529) x2
N (0.0000, 0.0000, 0.1403) x2

# 4
Structure and simulated powder diffraction line list of MnPRuCN (a cell relaxed with PBE; CuKα).
Intensities are scaled so that the largest is 100.

Largest 8 diffraction maxima, sorted by position, 2θ = 10–80°:
2theta  d [Å]  I_rel  hkl
12.9  6.838  61  0 0 3
26.1  3.419  31  0 0 6
34.6  2.591  53  1 0 1
35.5  2.531  100  0 1 2
41.0  2.203  31  0 1 5
46.6  1.950  51  1 0 7
49.8  1.830  52  0 1 8
61.5  1.508  38  1 1 0

Structural model:
Cell lengths 3.0157, 3.0157, 20.5153 Å; angles 90.00, 90.00, 120.00 degrees
Space group R3m (No. 160, hexagonal axes)
Asymmetric unit:
Mn (0.0000, 0.0000, 0.0000) x3
P (0.0000, 0.0000, 0.4677) x3
Ru (0.0000, 0.0000, 0.8747) x3
C (0.0000, 0.0000, 0.6151) x3
N (0.0000, 0.0000, 0.3906) x3

# 5
Structure and simulated powder diffraction line list of MnPCSeN (a cell relaxed with PBE; CuKα).
Intensities are scaled so that the largest is 100.

Largest 8 diffraction maxima, sorted by position, 2θ = 10–80°:
2theta  d [Å]  I_rel  hkl
19.2  4.616  79  0 0 6
35.5  2.525  63  1 0 1
37.8  2.381  100  1 0 4
39.0  2.307  86  0 0 12
42.3  2.135  91  1 0 7
44.3  2.046  59  0 1 8
51.1  1.787  56  0 1 11
63.5  1.464  47  1 1 0

Structural model:
Cell lengths 2.9283, 2.9283, 27.6963 Å; angles 90.00, 90.00, 120.00 degrees
Space group R3m (No. 160, hexagonal axes)
Asymmetric unit:
Mn (0.0000, 0.0000, 0.0000) x3
P (0.0000, 0.0000, 0.4300) x3
C (0.0000, 0.0000, 0.3688) x3
Se (0.0000, 0.0000, 0.2687) x3
N (0.0000, 0.0000, 0.7862) x3

# 6
Structure and simulated powder diffraction line list of Mn12Zn4CN3 (a cell relaxed with PBE; CuKα).
Intensities are scaled so that the largest is 100.

Largest 8 diffraction maxima, sorted by position, 2θ = 10–80°:
2theta  d [Å]  I_rel  hkl
32.8  2.727  3  1 0 4
33.3  2.691  1  1 1 0
40.7  2.216  100  1 1 4
46.5  1.954  20  0 0 8
47.8  1.903  37  2 0 0
59.2  1.560  1  2 1 4
68.9  1.363  22  2 0 8
69.9  1.345  11  2 2 0

Structural model:
Cell lengths 3.8053, 3.8053, 15.6342 Å; angles 90.00, 90.00, 90.00 degrees
Space group P4/mmm (No. 123)
Asymmetric unit:
Mn (0.0000, 0.0000, 0.1248) x2
Mn (0.0000, 0.0000, 0.3738) x2
Mn (0.0000, 0.5000, 0.0000) x2
Mn (0.0000, 0.5000, 0.2446) x4
Mn (0.0000, 0.5000, 0.5000) x2
Zn (0.5000, 0.5000, 0.1222) x2
Zn (0.5000, 0.5000, 0.3743) x2
C (0.0000, 0.0000, 0.5000) x1
N (0.0000, 0.0000, 0.0000) x1
N (0.0000, 0.0000, 0.2461) x2